[1]
For MgCN2, the PBE geometry in the Materials Project gives the computed powder XRD pattern in this record (Cu Ka).

Crystal structure
```
MgCN2
1.0
4.4273 0.0000 0.0000
0.0000 6.4445 0.0000
0.0000 0.0000 4.4301
Mg C N
4 4 8
direct
0.0397 0.1229 0.0000
0.4603 0.6229 0.5000
0.5397 0.3771 0.0000
0.9603 0.8771 0.5000
0.0486 0.6246 0.9672
0.4514 0.1246 0.4672
0.5486 0.8754 0.9672
0.9514 0.3754 0.4672
0.0074 0.5753 0.6299
0.1184 0.1781 0.5346
0.3816 0.6781 0.0346
0.4926 0.0753 0.1299
0.5074 0.9247 0.6299
0.6184 0.3219 0.5346
0.8816 0.8219 0.0346
0.9926 0.4247 0.1299
```

The 8 most intense peaks (5° ≤ 2θ ≤ 70°), low angle first:
| 2θ/deg | intensity |
| --- | --- |
| 34.4 | 228 |
| 40.2 | 507 |
| 40.7 | 1000 |
| 47.0 | 334 |
| 48.1 | 292 |
| 57.2 | 134 |
| 59.0 | 137 |
| 63.9 | 192 |


[2]
For Ca3Ge4Au7, the PBE geometry in the Materials Project gives the computed powder XRD pattern in this record (Cu Ka).

Crystal structure
```
Ca3Ge4Au7
1.0
9.7093 0.0000 0.0000
0.0000 13.2997 0.0000
0.0000 0.0000 4.5229
Ca Ge Au
6 8 14
direct
0.0000 0.0000 0.0000
0.0010 0.3110 0.0000
0.4990 0.8110 0.5000
0.5000 0.5000 0.5000
0.5010 0.1890 0.5000
0.9990 0.6890 0.0000
0.1478 0.8173 0.5000
0.2242 0.6254 0.5000
0.2758 0.1254 0.0000
0.3522 0.3173 0.0000
0.6478 0.6827 0.0000
0.7242 0.8746 0.0000
0.7758 0.3746 0.5000
0.8522 0.1827 0.5000
0.0000 0.5000 0.5000
0.1133 0.1583 0.5000
0.1984 0.4973 0.0000
0.2398 0.3608 0.5000
0.2602 0.8608 0.0000
0.3016 0.9973 0.5000
0.3867 0.6583 0.0000
0.5000 0.0000 0.0000
0.6133 0.3417 0.0000
0.6984 0.0027 0.5000
0.7398 0.1392 0.0000
0.7602 0.6392 0.5000
0.8016 0.5027 0.0000
0.8867 0.8417 0.5000
```

The 8 most intense peaks (5° ≤ 2θ ≤ 70°), low angle first:
| 2θ/deg | intensity |
| --- | --- |
| 18.3 | 237 |
| 22.0 | 353 |
| 33.8 | 1000 |
| 36.7 | 364 |
| 39.9 | 440 |
| 40.7 | 246 |
| 43.7 | 220 |
| 43.9 | 250 |


[3]
For BaPd, the PBE geometry in the Materials Project gives the computed powder XRD pattern in this record (Cu Ka).

Crystal structure
```
BaPd
1.0
5.1322 0.0000 0.0000
-2.5661 4.4446 0.0000
0.0000 0.0000 5.6509
Ba Pd
2 2
direct
0.3333 0.6667 0.2500
0.6667 0.3333 0.7500
0.0000 0.0000 0.0000
0.0000 0.0000 0.5000
```

The 8 most intense peaks (5° ≤ 2θ ≤ 70°), low angle first:
| 2θ/deg | intensity |
| --- | --- |
| 25.5 | 1000 |
| 35.0 | 972 |
| 37.7 | 829 |
| 43.8 | 231 |
| 52.4 | 317 |
| 57.2 | 209 |
| 62.7 | 175 |
| 64.5 | 336 |


[4]
For SiNi2As, the PBE geometry in the Materials Project gives the computed powder XRD pattern in this record (Cu Ka).

Crystal structure
```
SiNi2As
1.0
5.1362 0.0000 0.0000
0.0000 13.8885 0.0000
0.0000 0.0000 6.0089
Si Ni As
8 16 8
direct
0.1800 0.0572 0.0675
0.1800 0.4428 0.5675
0.3200 0.5572 0.0675
0.3200 0.9428 0.5675
0.6800 0.0572 0.4325
0.6800 0.4428 0.9325
0.8200 0.5572 0.4325
0.8200 0.9428 0.9325
0.0098 0.0562 0.6932
0.0098 0.4438 0.1932
0.0160 0.6658 0.1953
0.0160 0.8342 0.6953
0.4840 0.1658 0.1953
0.4840 0.3342 0.6953
0.4902 0.5562 0.6932
0.4902 0.9438 0.1932
0.5098 0.0562 0.8068
0.5098 0.4438 0.3068
0.5160 0.6658 0.3047
0.5160 0.8342 0.8047
0.9840 0.1658 0.3047
0.9840 0.3342 0.8047
0.9902 0.5562 0.8068
0.9902 0.9438 0.3068
0.1838 0.6832 0.5699
0.1838 0.8168 0.0699
0.3162 0.1832 0.5699
0.3162 0.3168 0.0699
0.6838 0.6832 0.9301
0.6838 0.8168 0.4301
0.8162 0.1832 0.9301
0.8162 0.3168 0.4301
```

The 8 most intense peaks (5° ≤ 2θ ≤ 70°), low angle first:
| 2θ/deg | intensity |
| --- | --- |
| 26.2 | 154 |
| 29.7 | 309 |
| 34.6 | 810 |
| 39.8 | 156 |
| 46.5 | 1000 |
| 48.0 | 294 |
| 49.3 | 215 |
| 52.7 | 509 |


[5]
For Ho3Pt4, the PBE geometry in the Materials Project gives the computed powder XRD pattern in this record (Cu Ka).

Crystal structure
```
Ho3Pt4
1.0
6.5979 3.8093 1.9028
-6.5979 3.8093 1.9028
0.0000 -7.6186 1.9028
Ho Pt
6 8
direct
0.0265 0.4038 0.2806
0.2806 0.0265 0.4038
0.4038 0.2806 0.0265
0.5962 0.7194 0.9735
0.7194 0.9735 0.5962
0.9735 0.5962 0.7194
0.0000 0.0000 0.0000
0.0613 0.2257 0.5529
0.2257 0.5529 0.0613
0.4471 0.9387 0.7743
0.5000 0.5000 0.5000
0.5529 0.0613 0.2257
0.7743 0.4471 0.9387
0.9387 0.7743 0.4471
```

The 8 most intense peaks (5° ≤ 2θ ≤ 70°), low angle first:
| 2θ/deg | intensity |
| --- | --- |
| 32.3 | 325 |
| 35.1 | 195 |
| 36.0 | 1000 |
| 37.8 | 950 |
| 42.6 | 217 |
| 47.1 | 152 |
| 53.2 | 163 |
| 65.9 | 302 |


[6]
For CoH9C3N6, the PBE geometry in the Materials Project gives the computed powder XRD pattern in this record (Cu Ka).

Crystal structure
```
CoH9C3N6
1.0
5.4952 3.1727 3.6381
-5.4952 3.1727 3.6381
0.0000 -6.3453 3.6381
Co H C N
2 18 6 12
direct
0.0000 0.0000 0.0000
0.5000 0.5000 0.5000
0.1607 0.4349 0.3399
0.2010 0.6494 0.4524
0.2493 0.2740 0.6020
0.2740 0.6020 0.2493
0.3399 0.1607 0.4349
0.3506 0.5476 0.7990
0.3980 0.7507 0.7260
0.4349 0.3399 0.1607
0.4524 0.2010 0.6494
0.5476 0.7990 0.3506
0.5651 0.6601 0.8393
0.6020 0.2493 0.2740
0.6494 0.4524 0.2010
0.6601 0.8393 0.5651
0.7260 0.3980 0.7507
0.7507 0.7260 0.3980
0.7990 0.3506 0.5476
0.8393 0.5651 0.6601
0.0497 0.8776 0.7743
0.1224 0.2257 0.9503
0.2257 0.9503 0.1224
0.7743 0.0497 0.8776
0.8776 0.7743 0.0497
0.9503 0.1224 0.2257
0.0772 0.7961 0.6334
0.2039 0.3666 0.9228
0.2599 0.5519 0.3722
0.3666 0.9228 0.2039
0.3722 0.2599 0.5519
0.4481 0.6278 0.7401
0.5519 0.3722 0.2599
0.6278 0.7401 0.4481
0.6334 0.0772 0.7961
0.7401 0.4482 0.6278
0.7961 0.6334 0.0772
0.9228 0.2039 0.3666
```

The 8 most intense peaks (5° ≤ 2θ ≤ 70°), low angle first:
| 2θ/deg | intensity |
| --- | --- |
| 16.1 | 1000 |
| 18.7 | 554 |
| 24.8 | 120 |
| 29.7 | 684 |
| 41.5 | 181 |
| 43.6 | 118 |
| 44.7 | 100 |
| 48.0 | 132 |


[7]
For LaI3O9, the PBE geometry in the Materials Project gives the computed powder XRD pattern in this record (Cu Ka).

Crystal structure
```
LaI3O9
1.0
6.9203 0.0000 0.0000
0.0000 7.5099 0.0000
0.0000 0.0000 8.5879
La I O
2 6 18
direct
0.2500 0.2500 0.1533
0.7500 0.7500 0.8467
0.2500 0.5188 0.6962
0.2500 0.7500 0.1453
0.2500 0.9812 0.6962
0.7500 0.0188 0.3038
0.7500 0.2500 0.8547
0.7500 0.4812 0.3038
0.0334 0.5744 0.9628
0.0334 0.9256 0.9628
0.0679 0.7500 0.6744
0.2500 0.2500 0.7999
0.2500 0.5543 0.2792
0.2500 0.9457 0.2792
0.4321 0.7500 0.6744
0.4666 0.5744 0.9628
0.4666 0.9256 0.9628
0.5334 0.0744 0.0372
0.5334 0.4256 0.0372
0.5679 0.2500 0.3256
0.7500 0.0543 0.7208
0.7500 0.4457 0.7208
0.7500 0.7500 0.2001
0.9321 0.2500 0.3256
0.9666 0.0744 0.0372
0.9666 0.4256 0.0372
```

The 8 most intense peaks (5° ≤ 2θ ≤ 70°), low angle first:
| 2θ/deg | intensity |
| --- | --- |
| 20.7 | 304 |
| 24.4 | 780 |
| 25.7 | 516 |
| 29.0 | 1000 |
| 33.3 | 304 |
| 39.6 | 327 |
| 47.5 | 305 |
| 47.8 | 370 |